Structure and theoretical powder diffraction line list of CsP2Ru2 (DFT lattice parameters and positions (GGA-PBE); CuKα).
No peak broadening, texture or thermal motion is included.

Crystal structure
```
5
Lattice="-2.041 2.041 6.990 2.041 -2.041 6.990 2.041 2.041 -6.990" Properties=species:S:1:pos:R:3 pbc="T T T"
Cs 0.000 0.000 0.000
P 0.000 0.000 4.593
P 0.000 0.000 9.388
Ru 2.041 0.000 3.495
Ru 0.000 2.041 3.495
```

The 6 most intense peaks (10 to 90 degrees two-theta), low angle first:
2theta	d/Å	intensity
12.66	6.990	40
25.48	3.495	55
29.08	3.070	60
33.60	2.667	100
44.40	2.041	39
50.34	1.813	60